This entry pairs a crystal structure of La2Al with its calculated powder XRD pattern. Radiation: Cu Kα X-rays. Structure: DFT lattice parameters and positions (GGA-PBE).
Kinematic intensities with the Lorentz-polarization factor, no thermal factor.

Atomic structure:
```
data_La2Al
_chemical_formula_sum 'La8 Al4'
_symmetry_space_group_name_H-M 'C 1 m 1'
_symmetry_Int_Tables_number 8
_cell_length_a 12.2970
_cell_length_b 3.8562
_cell_length_c 8.2286
_cell_angle_alpha 90.00
_cell_angle_beta 112.03
_cell_angle_gamma 90.00
loop_
_symmetry_equiv_pos_as_xyz
'x,y,z'
'x,-y,z'
'x+1/2,y+1/2,z'
'x+1/2,-y+1/2,z'
loop_
_atom_site_label
_atom_site_fract_x
_atom_site_fract_y
_atom_site_fract_z
La1 0.0000 0.0000 0.0000
La2 0.0001 0.0000 0.4990
La3 0.2026 0.5000 0.3089
La4 0.2981 0.0000 0.6908
Al1 0.1738 0.5000 0.8827
Al2 0.3252 0.0000 0.1151
```

Peak list (10 most intense, 2θ = 10–90°, sorted by position)
- 2θ = 15.5°, rel. 27, hkl 2 0 -1
- 2θ = 22.7°, rel. 33, hkl 2 0 -2
- 2θ = 25.7°, rel. 22, hkl 1 1 -1
- 2θ = 28.3°, rel. 22, hkl 1 1 1
- 2θ = 31.4°, rel. 51, hkl 4 0 -2
- 2θ = 31.8°, rel. 100, hkl 1 1 -2
- 2θ = 32.8°, rel. 64, hkl 2 0 2
- 2θ = 33.1°, rel. 86, hkl 3 1 0
- 2θ = 44.6°, rel. 29, hkl 5 1 -2
- 2θ = 58.6°, rel. 24, hkl 2 2 2